Diffraction record for TeBr6O8. The X-ray powder pattern is theoretical, not measured: it uses a structure optimized by DFT (GGA-PBE) and Cu Ka.
Lines closer than 0.1° are merged.

Principal peaks in the range 10° ≤ 2θ ≤ 90°, in order of rising 2θ:
2θ = 12.6°, 7.042 Å, intensity 100, hkl 0 1 1; 2θ = 13.0°, 6.805 Å, intensity 87, hkl 1 0 -2; 2θ = 14.1°, 6.270 Å, intensity 93, hkl 1 1 -1; 2θ = 20.5°, 4.330 Å, intensity 51, hkl 1 1 1; 2θ = 25.3°, 3.521 Å, intensity 44, hkl 0 2 2; 2θ = 26.7°, 3.343 Å, intensity 40, hkl 2 1 0; 2θ = 28.1°, 3.179 Å, intensity 42, hkl 2 1 -4; 2θ = 32.0°, 2.799 Å, intensity 70, hkl 1 2 2; 2θ = 32.9°, 2.722 Å, intensity 29, hkl 1 3 -2; 2θ = 33.4°, 2.680 Å, intensity 29, hkl 3 1 -4

Atomic structure:
```
TeBr6O8
1.0
8.841 0.000 0.000
0.000 8.909 0.000
-8.148 0.000 11.496
Te Br O
2 12 16
direct
0.000 0.000 0.000
0.000 0.500 0.500
0.164 0.098 0.903
0.164 0.402 0.403
0.199 0.193 0.175
0.199 0.307 0.675
0.319 0.715 0.642
0.319 0.785 0.142
0.681 0.215 0.858
0.681 0.285 0.358
0.801 0.693 0.325
0.801 0.807 0.825
0.836 0.598 0.597
0.836 0.902 0.097
0.253 0.629 0.180
0.253 0.871 0.680
0.266 0.020 0.465
0.266 0.480 0.965
0.388 0.081 0.564
0.388 0.419 0.064
0.489 0.667 0.929
0.489 0.833 0.429
0.511 0.167 0.571
0.511 0.333 0.071
0.612 0.581 0.936
0.612 0.919 0.436
0.734 0.520 0.035
0.734 0.980 0.535
0.747 0.129 0.320
0.747 0.371 0.820
```